Structure and calculated X-ray diffraction stick pattern of K5Rb5In (a DFT-relaxed cell (GGA-PBE, Alexandria); λ = 1.5418 Å (Cu Kα)).
Peak positions follow from Bragg's law for the DFT cell and can differ from measured ones.

Main lines, low angle first (2θ = 10–90°):
2theta  Rel. int.
13.9  82
17.5  45
17.9  55
24.4  49
25.0  100
25.4  96
26.5  53
31.9  21
36.3  33
43.1  24

Atomic structure:
```
data_K5Rb5In
_chemical_formula_sum 'K10 Rb10 In2'
_symmetry_space_group_name_H-M 'C 1 2/m 1'
_symmetry_Int_Tables_number 12
_symmetry_space_group_name_Hall '-C 2y'
_cell_length_a 21.6562
_cell_length_b 6.7284
_cell_length_c 14.5898
_cell_angle_alpha 90.00
_cell_angle_beta 110.83
_cell_angle_gamma 90.00
loop_
_atom_site_label
_atom_site_type_symbol
_atom_site_fract_x
_atom_site_fract_y
_atom_site_fract_z
_atom_site_occupancy
K1 K 0.0000 0.0000 0.0000 1
K2 K 0.0996 0.5000 0.2632 1
K3 K 0.1003 0.5000 0.8426 1
Rb1 Rb 0.0000 0.5000 0.5000 1
Rb2 Rb 0.2352 0.5000 0.6133 1
Rb3 Rb 0.2435 0.5000 0.1297 1
In1 In 0.0000 0.5000 0.0000 1
```


Structure and calculated X-ray diffraction stick pattern of Ba2Ca2Ag15 (a DFT-relaxed cell (GGA-PBE, Alexandria); λ = 1.5418 Å (Cu Kα)).
Peak positions follow from Bragg's law for the DFT cell and can differ from measured ones.

Main lines, low angle first (2θ = 10–90°):
2theta  Rel. int.
17.8  16
31.1  14
31.7  16
36.0  100
36.1  28
36.6  12
40.5  55
51.9  16
64.8  13
76.5  16

Atomic structure:
```
data_Ba2Ca2Ag15
_chemical_formula_sum 'Ba6 Ca6 Ag45'
_symmetry_space_group_name_H-M 'R -3 m'
_symmetry_Int_Tables_number 166
_symmetry_space_group_name_Hall '-R 3 2"'
_cell_length_a 9.9712
_cell_length_b 9.9712
_cell_length_c 14.9143
_cell_angle_alpha 90.00
_cell_angle_beta 90.00
_cell_angle_gamma 120.00
loop_
_atom_site_label
_atom_site_type_symbol
_atom_site_fract_x
_atom_site_fract_y
_atom_site_fract_z
_atom_site_occupancy
Ba1 Ba 0.0000 0.0000 0.1465 1
Ca1 Ca 0.0000 0.0000 0.3941 1
Ag1 Ag 0.0000 0.2957 0.5000 1
Ag2 Ag 0.0000 0.5000 0.0000 1
Ag3 Ag 0.0020 0.5010 0.6531 1
```


Structure and calculated X-ray diffraction stick pattern of BaSr3Ir (a DFT-relaxed cell (GGA-PBE, Alexandria); λ = 1.5418 Å (Cu Kα)).
Peak positions follow from Bragg's law for the DFT cell and can differ from measured ones.

Main lines, low angle first (2θ = 10–90°):
2theta  Rel. int.
19.1  100
27.2  21
28.9  22
31.5  60
37.1  57
38.8  23
49.4  25
50.8  25
59.8  19
70.3  22

Atomic structure:
Cell: 16.0780 16.0780 16.0780 Å, 90.00 90.00 90.00°
Space group Fd-3m (No. 227, origin choice 2)
Symmetry-distinct sites (fractional):
Ba1 0.0000 0.0000 0.0000
Sr1 0.0543 0.3750 0.8750
Ir1 0.0000 0.0000 0.5000


Structure and calculated X-ray diffraction stick pattern of CeH3O3 (a DFT-relaxed cell (GGA-PBE, Alexandria); λ = 1.5418 Å (Cu Kα)).
Peak positions follow from Bragg's law for the DFT cell and can differ from measured ones.

Main lines, low angle first (2θ = 10–90°):
2theta  Rel. int.
15.6  100
27.1  70
28.5  100
31.4  18
39.7  74
48.0  27
48.8  66
56.4  20
64.0  21
77.4  19

Atomic structure:
```
data_CeH3O3
_chemical_formula_sum 'Ce2 H6 O6'
_symmetry_space_group_name_H-M 'P 63/m'
_symmetry_Int_Tables_number 176
_symmetry_space_group_name_Hall '-P 6c'
_cell_length_a 6.5707
_cell_length_b 6.5707
_cell_length_c 3.7550
_cell_angle_alpha 90.00
_cell_angle_beta 90.00
_cell_angle_gamma 120.00
loop_
_atom_site_label
_atom_site_type_symbol
_atom_site_fract_x
_atom_site_fract_y
_atom_site_fract_z
_atom_site_occupancy
Ce1 Ce 0.3333 0.6667 0.2500 1
H1 H 0.1350 0.2775 0.7500 1
O1 O 0.0829 0.3928 0.7500 1
```


Structure and calculated X-ray diffraction stick pattern of Ac2MgCd5 (a DFT-relaxed cell (GGA-PBE, Alexandria); λ = 1.5418 Å (Cu Kα)).
Peak positions follow from Bragg's law for the DFT cell and can differ from measured ones.

Main lines, low angle first (2θ = 10–90°):
2theta  Rel. int.
20.0  26
29.1  98
30.4  100
32.4  81
34.3  27
36.3  54
42.6  23
47.3  26
59.6  21
61.7  25

Atomic structure:
```
data_Ac2MgCd5
_chemical_formula_sum 'Ac8 Mg4 Cd20'
_symmetry_space_group_name_H-M 'C m c m'
_symmetry_Int_Tables_number 63
_symmetry_space_group_name_Hall '-C 2c 2'
_cell_length_a 4.9514
_cell_length_b 18.2591
_cell_length_c 10.1758
_cell_angle_alpha 90.00
_cell_angle_beta 90.00
_cell_angle_gamma 90.00
loop_
_atom_site_label
_atom_site_type_symbol
_atom_site_fract_x
_atom_site_fract_y
_atom_site_fract_z
_atom_site_occupancy
Ac1 Ac 0.0000 0.0000 0.0000 1
Ac2 Ac 0.0000 0.2027 0.2500 1
Mg1 Mg 0.0000 0.4450 0.7500 1
Cd1 Cd 0.0000 0.1873 0.6059 1
Cd2 Cd 0.0000 0.3530 0.5251 1
Cd3 Cd 0.0000 0.4012 0.2500 1
```


Structure and calculated X-ray diffraction stick pattern of Pm3HoRu3 (a DFT-relaxed cell (GGA-PBE, Alexandria); λ = 1.5418 Å (Cu Kα)).
Peak positions follow from Bragg's law for the DFT cell and can differ from measured ones.

Main lines, low angle first (2θ = 10–90°):
2theta  Rel. int.
12.8  11
25.7  13
36.2  26
36.9  100
37.1  25
52.8  17
65.5  17
66.3  9
66.7  17
78.5  11

Atomic structure:
```
data_Pm3HoRu3
_chemical_formula_sum 'Pm12 Ho4 Ru12'
_symmetry_space_group_name_H-M 'C 1 2/m 1'
_symmetry_Int_Tables_number 12
_symmetry_space_group_name_Hall '-C 2y'
_cell_length_a 9.9374
_cell_length_b 9.6907
_cell_length_c 6.8464
_cell_angle_alpha 90.00
_cell_angle_beta 90.04
_cell_angle_gamma 90.00
loop_
_atom_site_label
_atom_site_type_symbol
_atom_site_fract_x
_atom_site_fract_y
_atom_site_fract_z
_atom_site_occupancy
Pm1 Pm 0.0000 0.2392 0.0000 1
Pm2 Pm 0.0000 0.2533 0.5000 1
Pm3 Pm 0.2492 0.5000 0.5006 1
Ho1 Ho 0.2320 0.5000 0.0005 1
Ru1 Ru 0.0000 0.5000 0.2476 1
Ru2 Ru 0.2500 0.2500 0.2462 1
```